Computed powder diffraction line list
Compound: Ac2PmNdHg4
Radiation: CuKα
Structure: a cell relaxed with PBE
Kinematic intensities with the Lorentz-polarization factor, no thermal factor.

Atomic structure:
a = 5.5710 Å, b = 5.5710 Å, c = 27.3751 Å
α = 90.00°, β = 90.00°, γ = 120.00°
Space group R-3m (No. 166, hexagonal axes)
One atom of each set of equivalent atoms:
Ac 0.0000 0.0000 0.2500 (multiplicity 6)
Pm 0.0000 0.0000 0.0000 (multiplicity 3)
Nd 0.0000 0.0000 0.5000 (multiplicity 3)
Hg 0.0000 0.0000 0.1247 (multiplicity 6)
Hg 0.0000 0.0000 0.3744 (multiplicity 6)

Most intense lines, 2θ from 10° to 80°, in order of rising 2θ:
- 2θ 32.1, rel. 100.0, hkl 1 1 0
- 2θ 46.0, rel. 18.7, hkl 2 0 8
- 2θ 57.1, rel. 9.9, hkl 1 0 16
- 2θ 57.3, rel. 29.7, hkl 3 0 0
- 2θ 67.1, rel. 6.2, hkl 0 2 16
- 2θ 67.2, rel. 6.2, hkl 2 2 0
- 2θ 76.3, rel. 8.7, hkl 2 1 16
- 2θ 76.4, rel. 8.6, hkl 3 1 8